# Ac4Pm2Tm
Simulated PXRD pattern, Cu Kα, 1.54184 Å. Input: a DFT-relaxed cell (PBE, Alexandria).

Most intense lines, 15 to 90 degrees two-theta, by angle:
d_spacing, I_rel, (hkl)
3.486, 21, 1 1 -3
3.393, 46, 1 1 3
3.216, 72, 0 4 0
3.148, 46, 2 0 -2
3.133, 35, 2 2 0
2.782, 56, 0 2 4
2.764, 100, 2 2 2
2.250, 28, 2 4 -2
1.759, 30, 2 0 6
1.543, 23, 2 4 6

Cell: 7.1793 12.8657 12.3467 Å, 90.00 91.95 90.00°
Space group C2/c (No. 15)
One atom of each set of equivalent atoms:
1 Ac 0.0445 0.2494 0.4025 x8
2 Ac 0.2475 0.4712 0.0001 x8
3 Pm 0.0000 0.0097 0.2500 x4
4 Pm 0.0000 0.2543 0.7500 x4
5 Tm 0.0000 0.4851 0.2500 x4

***

# Ac3Pm3Tm
Simulated PXRD pattern, Cu Kα, 1.54184 Å. Input: a DFT-relaxed cell (PBE, Alexandria).

Most intense lines, 15 to 90 degrees two-theta, by angle:
d_spacing, I_rel, (hkl)
3.487, 37, 1 1 3
3.189, 46, 3 1 2
3.116, 20, 4 0 2
2.957, 100, 4 1 0
2.917, 97, 1 1 4
2.814, 63, 0 2 0
2.802, 39, 3 0 4
1.986, 30, 3 2 4
1.651, 22, 4 3 0
1.644, 19, 1 3 4

Cell: 13.9014 5.6288 14.0701 Å, 90.00 90.00 90.00°
Space group Pnma (No. 62)
One atom of each set of equivalent atoms:
1 Ac 0.0907 0.2500 0.0614 x4
2 Ac 0.0945 0.2500 0.5575 x4
3 Ac 0.1870 0.7500 0.3596 x4
4 Pm 0.0351 0.2500 0.3110 x4
5 Pm 0.1627 0.7500 0.9336 x4
6 Pm 0.2072 0.7500 0.6993 x4
7 Tm 0.0474 0.2500 0.8124 x4

***

# AcPm8Tm3
Simulated PXRD pattern, Cu Kα, 1.54184 Å. Input: a DFT-relaxed cell (PBE, Alexandria).

Most intense lines, 15 to 90 degrees two-theta, by angle:
d_spacing, I_rel, (hkl)
3.057, 35, 1 1 1
2.939, 32, 0 0 4
2.787, 100, 2 -1 2
2.462, 19, 1 1 3
1.828, 25, 3 0 0
1.666, 22, 2 -1 6
1.552, 29, 3 0 4
1.528, 16, 2 2 2
1.173, 14, 5 -1 2
1.145, 14, 3 0 8

Cell: 6.3318 6.3318 11.7540 Å, 90.00 90.00 120.00°
Space group P-31m (No. 162)
One atom of each set of equivalent atoms:
1 Ac 0.0000 0.0000 0.0000 x1
2 Pm 0.0000 0.3369 0.7434 x6
3 Pm 0.3333 0.6667 0.0000 x2
4 Tm 0.0000 0.0000 0.5000 x1
5 Tm 0.3333 0.6667 0.5000 x2

***

# Ac2Pm5Tm12
Simulated PXRD pattern, Cu Kα, 1.54184 Å. Input: a DFT-relaxed cell (PBE, Alexandria).

Most intense lines, 15 to 90 degrees two-theta, by angle:
d_spacing, I_rel, (hkl)
2.947, 70, 2 2 -2
2.891, 33, 4 0 2
2.876, 100, 5 1 -1
2.865, 41, 1 3 1
2.847, 78, 4 2 1
2.696, 44, 1 1 -3
2.551, 32, 3 3 1
2.485, 27, 1 3 -2
1.663, 35, 3 3 4
1.552, 27, 0 6 0

Cell: 16.0363 9.3061 8.5504 Å, 90.00 91.31 90.00°
Space group C2/m (No. 12)
One atom of each set of equivalent atoms:
1 Ac 0.0000 0.1985 0.0000 x4
2 Pm 0.0000 0.5000 0.5000 x2
3 Pm 0.1962 0.0000 0.0012 x4
4 Pm 0.2381 0.5000 0.5811 x4
5 Tm 0.0566 0.0000 0.3288 x4
6 Tm 0.1023 0.5000 0.8836 x4
7 Tm 0.1242 0.1904 0.6444 x8
8 Tm 0.1611 0.3197 0.2529 x8

***

# Ac3Pm2Tm
Simulated PXRD pattern, Cu Kα, 1.54184 Å. Input: a DFT-relaxed cell (PBE, Alexandria).

Most intense lines, 15 to 90 degrees two-theta, by angle:
d_spacing, I_rel, (hkl)
3.199, 66, 1 1 1
3.048, 38, 0 0 4
2.912, 100, 1 1 2
2.569, 37, 1 1 3
1.964, 17, 1 1 5
1.914, 31, 3 0 0
1.732, 22, 1 1 6
1.621, 36, 3 0 4
1.600, 17, 2 2 2
1.227, 14, 4 1 2

Cell: 6.6305 6.6305 12.1913 Å, 90.00 90.00 120.00°
Space group P6_3/mcm (No. 193)
One atom of each set of equivalent atoms:
1 Ac 0.0000 0.3313 0.2500 x6
2 Pm 0.3333 0.6667 0.0000 x4
3 Tm 0.0000 0.0000 0.0000 x2

***

# Ac4Pm5Tm2
Simulated PXRD pattern, Cu Kα, 1.54184 Å. Input: a DFT-relaxed cell (PBE, Alexandria).

Most intense lines, 15 to 90 degrees two-theta, by angle:
d_spacing, I_rel, (hkl)
3.057, 100, 5 1 -1
2.668, 17, 0 2 0
2.657, 17, 6 0 1
2.618, 16, 4 0 -3
1.883, 13, 6 2 1
1.868, 18, 10 0 -2
1.606, 15, 5 3 -1
1.599, 8, 7 1 3
1.583, 14, 9 1 -4
1.528, 13, 10 2 -2

Cell: 19.0886 5.3366 8.2851 Å, 90.00 104.68 90.00°
Space group C2/m (No. 12)
One atom of each set of equivalent atoms:
1 Ac 0.0433 0.0000 0.2287 x4
2 Ac 0.1820 0.5000 0.4066 x4
3 Pm 0.0000 0.5000 0.5000 x2
4 Pm 0.1381 0.0000 0.6911 x4
5 Pm 0.2263 0.0000 0.1246 x4
6 Tm 0.0918 0.5000 0.9490 x4

***

# AcPm12Tm6
Simulated PXRD pattern, Cu Kα, 1.54184 Å. Input: a DFT-relaxed cell (PBE, Alexandria).

Most intense lines, 15 to 90 degrees two-theta, by angle:
d_spacing, I_rel, (hkl)
3.133, 37, 1 3 1
3.049, 60, 1 0 4
2.878, 66, 3 1 2
2.856, 64, 0 3 3
2.840, 100, 4 0 1
2.646, 42, 0 4 2
2.629, 45, 2 2 3
2.617, 38, 3 2 1
1.683, 30, 4 4 0
1.639, 32, 4 3 4

Cell: 13.4620 13.4620 12.6337 Å, 90.00 90.00 120.00°
Space group R-3m (No. 166, hexagonal axes)
One atom of each set of equivalent atoms:
1 Ac 0.0000 0.0000 0.0000 x3
2 Pm 0.0000 0.2587 0.5000 x18
3 Pm 0.0914 0.1828 0.2627 x18
4 Tm 0.0357 0.5179 0.6220 x18

***

# Ac4PmTm
Simulated PXRD pattern, Cu Kα, 1.54184 Å. Input: a DFT-relaxed cell (PBE, Alexandria).

Most intense lines, 15 to 90 degrees two-theta, by angle:
d_spacing, I_rel, (hkl)
3.717, 10, 1 0 0
3.122, 30, 0 2 0
3.060, 100, 0 1 3
3.037, 24, 1 0 2
2.363, 13, 1 1 3
2.177, 19, 1 2 2
1.790, 22, 0 3 3
1.759, 17, 0 0 6
1.597, 9, 2 2 0
1.589, 19, 2 1 3

Cell: 3.7168 6.2443 10.5408 Å, 90.00 90.00 90.00°
Space group Pmmm (No. 47)
One atom of each set of equivalent atoms:
1 Ac 0.0000 0.0000 0.1683 x2
2 Ac 0.0000 0.5000 0.3287 x2
3 Pm 0.5000 0.0000 0.5000 x1
4 Tm 0.5000 0.5000 0.0000 x1